Entry 1:
# Tl2ZnCu2Cl6
Computed powder X-ray diffraction pattern, Cu Kα, 1.54184 Å. Input: a PBE-relaxed structure.
No peak broadening, texture or thermal motion is included.

Peak list (6 most intense, 2θ = 10–80°, in order of falling intensity)
2θ (°)	I_rel
24.26	100
25.34	45
30.45	43
29.02	42
28.28	41
23.95	40

```
Tl2ZnCu2Cl6
1.0
6.4519 -3.5153 0.0000
6.4519 3.5153 0.0000
-4.1800 0.0000 6.1538
Tl Zn Cu Cl
2 1 2 6
Cartesian
2.2638 0.0000 1.3049
6.4601 0.0000 4.8490
-2.0900 0.0000 3.0769
2.3568 0.0000 4.3980
6.3670 0.0000 1.7558
5.0668 1.8179 1.4391
0.1574 0.0000 4.3053
3.6571 1.8179 4.7147
5.0668 -1.8179 1.4391
8.5665 0.0000 1.8486
3.6571 -1.8179 4.7147
```


Entry 2:
# Y6HfS8
Computed powder X-ray diffraction pattern, Cu Kα, 1.54184 Å. Input: a PBE-relaxed structure.
No peak broadening, texture or thermal motion is included.

Peak list (6 most intense, 2θ = 10–80°, in order of falling intensity)
2θ (°)	I_rel
32.61	100
46.79	69
28.14	41
13.96	36
77.77	30
58.19	23

```
Y6HfS8
1.0
0.0000 5.4920 5.4920
5.4920 0.0000 5.4920
5.4920 5.4920 0.0000
Y Hf S
6 1 8
Cartesian
2.7460 2.7460 0.0000
2.7460 0.0000 2.7460
5.4920 2.7460 2.7460
0.0000 2.7460 2.7460
2.7460 5.4920 2.7460
2.7460 2.7460 5.4920
0.0000 0.0000 0.0000
5.4920 5.4920 2.6566
5.4920 2.6566 5.4920
8.3274 5.4920 5.4920
2.7460 2.7460 2.7460
8.2380 8.2380 8.2380
2.6566 5.4920 5.4920
5.4920 8.3274 5.4920
5.4920 5.4920 8.3274
```


Entry 3:
# CaCu2Cl8
Computed powder X-ray diffraction pattern, Cu Kα, 1.54184 Å. Input: a PBE-relaxed structure.
No peak broadening, texture or thermal motion is included.

Peak list (6 most intense, 2θ = 10–80°, in order of falling intensity)
2θ (°)	I_rel
23.84	100
18.62	85
30.58	83
40.24	76
37.35	50
45.14	37

```
CaCu2Cl8
1.0
-3.3703 3.3703 6.0002
3.3703 -3.3703 6.0002
3.3703 3.3703 -6.0002
Ca Cu Cl
1 2 8
Cartesian
0.0000 0.0000 0.0000
3.3703 0.0000 3.0001
0.0000 3.3703 3.0001
4.4806 1.1218 -1.4695
1.1218 2.2600 -1.4695
2.2600 1.1218 1.4695
2.2485 -1.1103 7.4697
2.2485 1.1103 4.5307
-1.1103 2.2485 4.5307
1.1218 4.4806 1.4695
1.1103 2.2485 7.4697
```


Entry 4:
# Cd4In9Sn2
Computed powder X-ray diffraction pattern, Cu Kα, 1.54184 Å. Input: a PBE-relaxed structure.
No peak broadening, texture or thermal motion is included.

Peak list (6 most intense, 2θ = 10–80°, in order of falling intensity)
2θ (°)	I_rel
35.99	100
31.13	93
34.85	33
61.69	27
48.31	27
64.70	17

```
Cd4In9Sn2
1.0
4.9909 0.0000 0.0000
-2.4954 4.3222 0.0000
0.0000 0.0000 19.2312
Cd In Sn
4 9 2
Cartesian
0.0000 2.8815 3.2728
0.0000 2.8815 8.3858
2.4954 1.4407 10.8454
2.4954 1.4407 15.9584
0.0000 0.0000 1.9406
0.0000 0.0000 5.7489
0.0000 0.0000 9.6156
0.0000 0.0000 13.4823
0.0000 0.0000 17.2906
0.0000 2.8815 11.8630
0.0000 2.8815 18.6484
2.4954 1.4407 0.5828
2.4954 1.4407 7.3681
0.0000 2.8815 15.0447
2.4954 1.4407 4.1865
```


Entry 5:
# Tb3ErS3
Computed powder X-ray diffraction pattern, Cu Kα, 1.54184 Å. Input: a PBE-relaxed structure.
No peak broadening, texture or thermal motion is included.

Peak list (6 most intense, 2θ = 10–80°, in order of falling intensity)
2θ (°)	I_rel
28.20	100
32.67	98
46.88	70
55.65	31
58.31	24
78.01	21

```
Tb3ErS3
1.0
10.9526 0.0000 0.0000
0.0000 10.9526 0.0000
0.0000 0.0000 5.4919
Tb Er S
12 4 12
Cartesian
1.3222 4.0814 0.0000
1.3823 1.3823 2.7460
1.3949 6.7986 2.7460
4.0814 1.3222 0.0000
4.0940 6.8586 0.0000
4.1541 9.5577 2.7460
6.7986 1.3949 2.7460
6.8586 4.0940 0.0000
6.8712 9.6304 0.0000
9.5577 4.1541 2.7460
9.5703 9.5703 2.7460
9.6304 6.8712 0.0000
1.3385 9.6141 0.0000
4.1378 4.1378 2.7460
6.8148 6.8148 2.7460
9.6141 1.3385 0.0000
1.3468 1.3468 0.0000
1.3785 6.8790 0.0000
1.4027 4.0978 2.7460
4.0736 9.5741 0.0000
4.0978 1.4027 2.7460
4.1295 6.8231 2.7460
6.8231 4.1295 2.7460
6.8548 9.5499 2.7460
6.8790 1.3785 0.0000
9.5499 6.8548 2.7460
9.5741 4.0736 0.0000
9.6058 9.6058 0.0000
```


Entry 6:
# TaMoH
Computed powder X-ray diffraction pattern, Cu Kα, 1.54184 Å. Input: a PBE-relaxed structure.
No peak broadening, texture or thermal motion is included.

Peak list (6 most intense, 2θ = 10–80°, in order of falling intensity)
2θ (°)	I_rel
38.55	100
38.38	66
37.61	35
69.45	12
56.17	12
68.63	12

```
TaMoH
1.0
10.6094 0.0000 0.0000
0.0000 3.2750 0.0000
-2.0209 0.0000 4.2169
Ta Mo H
4 4 4
Cartesian
0.5534 0.0000 1.5333
2.7304 1.6375 2.6836
5.8581 1.6375 1.5333
8.0351 0.0000 2.6836
-0.5101 1.6375 3.6487
3.7939 0.0000 0.5682
4.7946 0.0000 3.6487
9.0986 1.6375 0.5682
0.4207 0.0000 3.4619
2.8631 1.6375 0.7550
5.7254 1.6375 3.4619
8.1678 0.0000 0.7550
```


Entry 7:
# UTcI
Computed powder X-ray diffraction pattern, Cu Kα, 1.54184 Å. Input: a PBE-relaxed structure.
No peak broadening, texture or thermal motion is included.

Peak list (6 most intense, 2θ = 10–80°, in order of falling intensity)
2θ (°)	I_rel
32.04	100
26.69	93
33.93	81
36.30	63
36.42	60
42.50	60

```
UTcI
1.0
3.7208 0.0000 0.0000
0.0069 3.8915 0.0000
1.8258 1.1115 11.1733
U Tc I
2 2 2
Cartesian
0.9116 1.5223 4.1010
4.6419 3.4807 7.0723
2.7766 1.4599 6.7210
2.7769 3.5431 4.4523
2.7827 2.1780 9.4120
2.7708 2.8250 1.7613
```


Entry 8:
# AgPb3
Computed powder X-ray diffraction pattern, Cu Kα, 1.54184 Å. Input: a PBE-relaxed structure.
No peak broadening, texture or thermal motion is included.

Peak list (6 most intense, 2θ = 10–80°, in order of falling intensity)
2θ (°)	I_rel
31.97	100
32.75	99
35.52	76
55.61	42
62.51	30
41.33	28

```
AgPb3
1.0
3.5064 0.0000 0.0000
0.0000 4.3683 0.0000
0.0000 0.0000 7.2935
Ag Pb
1 3
Cartesian
0.0000 0.0000 0.0000
0.0000 0.0000 3.6467
1.7532 2.1842 1.6440
1.7532 2.1842 5.6494
```